1.
Structure and calculated X-ray powder pattern of Li3Mn2CoO6 (a crystal structure in the Materials Project, relaxed with GGA+U; Cu Kα (weighted mean of Kα1 and Kα2)).

Cell and atoms:
a = 3.0824 Å, b = 6.1115 Å, c = 6.4755 Å
α = 102.92°, β = 103.32°, γ = 94.88°
Space group P-1 (No. 2)
Unique sites:
Li (0.0000, 0.0000, 0.0000) (multiplicity 1)
Li (0.3396, 0.6656, 0.6714) (multiplicity 2)
Mn (0.3223, 0.1706, 0.6668) (multiplicity 2)
Co (0.0000, 0.5000, 0.0000) (multiplicity 1)
O (0.1423, 0.0776, 0.3468) (multiplicity 2)
O (0.1999, 0.5844, 0.3177) (multiplicity 2)
O (0.4666, 0.2618, 0.9851) (multiplicity 2)

Top 6 peaks for 2θ = 15–90°, in order of rising 2θ:
4.897 Å, 2θ = 18.12°, rel. 100.0, (0 1 -1)
2.689 Å, 2θ = 33.32°, rel. 20.2, (-1 1 1)
2.468 Å, 2θ = 36.41°, rel. 16.5, (0 1 2)
2.261 Å, 2θ = 39.88°, rel. 33.8, (1 -2 0)
2.075 Å, 2θ = 43.61°, rel. 25.4, (1 2 -1)
2.033 Å, 2θ = 44.56°, rel. 23.6, (0 0 3)



2.
Structure and calculated X-ray powder pattern of Eu2CoO4 (a crystal structure in the Materials Project, relaxed with GGA+U; Cu Kα (weighted mean of Kα1 and Kα2)).

Cell and atoms:
a = 3.7911 Å, b = 3.7911 Å, c = 12.0941 Å
α = 90.00°, β = 90.00°, γ = 90.00°
Space group I4/mmm (No. 139)
Unique sites:
Eu (0.0000, 0.0000, 0.1408) (multiplicity 4)
Co (0.0000, 0.0000, 0.5000) (multiplicity 2)
O (0.0000, 0.0000, 0.3357) (multiplicity 4)
O (0.0000, 0.5000, 0.0000) (multiplicity 4)

Top 6 peaks for 2θ = 15–90°, in order of rising 2θ:
3.618 Å, 2θ = 24.61°, rel. 27.8, (1 0 1)
2.762 Å, 2θ = 32.42°, rel. 100.0, (1 0 3)
2.681 Å, 2θ = 33.43°, rel. 70.1, (1 1 0)
2.006 Å, 2θ = 45.21°, rel. 32.0, (1 1 4)
1.896 Å, 2θ = 48.00°, rel. 33.9, (2 0 0)
1.563 Å, 2θ = 59.11°, rel. 36.7, (2 1 3)



3.
Structure and calculated X-ray powder pattern of Sr2CdWO6 (a crystal structure in the Materials Project, relaxed with GGA+U; Cu Kα (weighted mean of Kα1 and Kα2)).

Cell and atoms:
a = 5.8289 Å, b = 8.3352 Å, c = 6.0638 Å
α = 90.00°, β = 90.00°, γ = 90.00°
Space group Pmmn (No. 59, origin choice 2)
Unique sites:
Sr (0.2500, 0.0140, 0.2098) (multiplicity 4)
Cd (0.2500, 0.2500, 0.7261) (multiplicity 2)
W (0.2500, 0.7500, 0.7627) (multiplicity 2)
O (0.0072, 0.7500, 0.5490) (multiplicity 4)
O (0.0163, 0.7500, 0.9983) (multiplicity 4)
O (0.2500, 0.5170, 0.7809) (multiplicity 4)

Top 6 peaks for 2θ = 15–90°, in order of rising 2θ:
3.032 Å, 2θ = 29.46°, rel. 24.5, (0 0 2)
2.959 Å, 2θ = 30.20°, rel. 100.0, (1 2 1)
2.914 Å, 2θ = 30.68°, rel. 25.0, (2 0 0)
2.101 Å, 2θ = 43.05°, rel. 28.5, (2 0 2)
1.691 Å, 2θ = 54.24°, rel. 19.4, (3 2 1)
1.480 Å, 2θ = 62.81°, rel. 16.6, (2 4 2)



4.
Structure and calculated X-ray powder pattern of SrTbPrMnO6 (a crystal structure in the Materials Project, relaxed with GGA+U; Cu Kα (weighted mean of Kα1 and Kα2)).

Cell and atoms:
a = 8.1612 Å, b = 8.1612 Å, c = 8.1612 Å
α = 90.00°, β = 90.00°, γ = 90.00°
Space group F-43m (No. 216)
Unique sites:
Sr (0.0000, 0.0000, 0.0000) (multiplicity 4)
Tb (0.2500, 0.2500, 0.7500) (multiplicity 4)
Pr (0.0000, 0.0000, 0.5000) (multiplicity 4)
Mn (0.2500, 0.2500, 0.2500) (multiplicity 4)
O (0.0170, 0.2500, 0.2500) (multiplicity 24)

Top 6 peaks for 2θ = 15–90°, in order of rising 2θ:
2.885 Å, 2θ = 30.99°, rel. 100.0, (2 2 0)
2.040 Å, 2θ = 44.40°, rel. 31.0, (4 0 0)
1.666 Å, 2θ = 55.13°, rel. 39.3, (4 2 2)
1.443 Å, 2θ = 64.60°, rel. 18.7, (4 4 0)
1.290 Å, 2θ = 73.37°, rel. 17.4, (6 2 0)
1.091 Å, 2θ = 89.96°, rel. 21.4, (6 4 2)



5.
Structure and calculated X-ray powder pattern of VOF (a crystal structure in the Materials Project, relaxed with GGA+U; Cu Kα (weighted mean of Kα1 and Kα2)).

Cell and atoms:
a = 4.6647 Å, b = 5.6667 Å, c = 7.8787 Å
α = 85.96°, β = 88.79°, γ = 88.56°
Space group P-1 (No. 2)
Unique sites:
V (0.0000, 0.0000, 0.0000) (multiplicity 1)
V (0.0151, 0.3403, 0.6852) (multiplicity 2)
V (0.4800, 0.1683, 0.3512) (multiplicity 2)
V (0.5000, 0.5000, 0.0000) (multiplicity 1)
O (0.1918, 0.2898, 0.9084) (multiplicity 2)
O (0.2920, 0.1250, 0.5737) (multiplicity 2)
O (0.3114, 0.4614, 0.2347) (multiplicity 2)
F (0.1980, 0.6331, 0.5571) (multiplicity 2)
F (0.2059, 0.9617, 0.2281) (multiplicity 2)
F (0.2973, 0.8027, 0.8877) (multiplicity 2)

Top 6 peaks for 2θ = 15–90°, in order of rising 2θ:
3.380 Å, 2θ = 26.36°, rel. 100.0, (1 1 1)
3.275 Å, 2θ = 27.23°, rel. 96.9, (-1 1 1)
2.619 Å, 2θ = 34.23°, rel. 21.9, (0 0 3)
2.600 Å, 2θ = 34.49°, rel. 48.6, (1 -1 2)
2.593 Å, 2θ = 34.59°, rel. 24.1, (1 1 -2)
1.760 Å, 2θ = 51.96°, rel. 32.2, (1 3 0)



6.
Structure and calculated X-ray powder pattern of Li4Ti3Co3Te2O16 (a crystal structure in the Materials Project, relaxed with GGA+U; Cu Kα (weighted mean of Kα1 and Kα2)).

Cell and atoms:
a = 10.3997 Å, b = 5.9914 Å, c = 10.1141 Å
α = 90.00°, β = 90.10°, γ = 90.00°
Space group Cm (No. 8)
Unique sites:
Li (0.0000, 0.0000, 0.0000) (multiplicity 2)
Li (0.0099, 0.0000, 0.4906) (multiplicity 2)
Li (0.1741, 0.5000, 0.9096) (multiplicity 2)
Li (0.3448, 0.0000, 0.4183) (multiplicity 2)
Ti (0.3325, 0.5000, 0.2332) (multiplicity 2)
Ti (0.4150, 0.2402, 0.7271) (multiplicity 4)
Co (0.0930, 0.2574, 0.2288) (multiplicity 4)
Co (0.1806, 0.0000, 0.7100) (multiplicity 2)
Te (0.1725, 0.5000, 0.4952) (multiplicity 2)
Te (0.3316, 0.0000, 0.0188) (multiplicity 2)
O (0.0002, 0.0000, 0.3089) (multiplicity 2)
O (0.0031, 0.0000, 0.8029) (multiplicity 2)
O (0.0298, 0.5000, 0.3660) (multiplicity 2)
O (0.0946, 0.2520, 0.5925) (multiplicity 4)
O (0.1639, 0.0000, 0.1023) (multiplicity 2)
O (0.1849, 0.5000, 0.1195) (multiplicity 2)
O (0.2550, 0.2853, 0.3666) (multiplicity 4)
O (0.2721, 0.2470, 0.8295) (multiplicity 4)
O (0.3403, 0.5000, 0.5967) (multiplicity 2)
O (0.3566, 0.0000, 0.6120) (multiplicity 2)
O (0.4107, 0.2508, 0.1204) (multiplicity 4)
O (0.4963, 0.0000, 0.8243) (multiplicity 2)

Top 6 peaks for 2θ = 15–90°, in order of rising 2θ:
4.621 Å, 2θ = 19.21°, rel. 100.0, (2 0 -1)
3.623 Å, 2θ = 24.57°, rel. 32.1, (1 1 2)
2.828 Å, 2θ = 31.64°, rel. 46.3, (1 1 -3)
2.579 Å, 2θ = 34.78°, rel. 51.4, (0 2 2)
2.516 Å, 2θ = 35.69°, rel. 31.3, (4 0 -1)
2.310 Å, 2θ = 38.98°, rel. 16.3, (2 2 -2)



7.
Structure and calculated X-ray powder pattern of Li7Fe5O12 (a crystal structure in the Materials Project, relaxed with GGA+U; Cu Kα (weighted mean of Kα1 and Kα2)).

Cell and atoms:
a = 5.2447 Å, b = 8.7650 Å, c = 9.6678 Å
α = 90.00°, β = 98.71°, γ = 90.00°
Space group C2 (No. 5)
Unique sites:
Li (0.0000, 0.0000, 0.0000) (multiplicity 2)
Li (0.0000, 0.1769, 0.5000) (multiplicity 2)
Li (0.0000, 0.6715, 0.0000) (multiplicity 2)
Li (0.2421, 0.5091, 0.2420) (multiplicity 4)
Li (0.2461, 0.8361, 0.2442) (multiplicity 4)
Fe (0.0000, 0.3441, 0.0000) (multiplicity 2)
Fe (0.0000, 0.5023, 0.5000) (multiplicity 2)
Fe (0.0000, 0.8449, 0.5000) (multiplicity 2)
Fe (0.2441, 0.1671, 0.2419) (multiplicity 4)
O (0.0914, 0.6744, 0.3705) (multiplicity 4)
O (0.0996, 0.1835, 0.8730) (multiplicity 4)
O (0.1282, 0.5042, 0.8776) (multiplicity 4)
O (0.1429, 0.0074, 0.3793) (multiplicity 4)
O (0.1470, 0.3405, 0.3831) (multiplicity 4)
O (0.1645, 0.8335, 0.8838) (multiplicity 4)

Top 6 peaks for 2θ = 15–90°, in order of rising 2θ:
4.262 Å, 2θ = 20.84°, rel. 100.0, (1 1 -1)
3.230 Å, 2θ = 27.62°, rel. 51.8, (0 2 2)
2.146 Å, 2θ = 42.10°, rel. 44.2, (2 0 2)
2.065 Å, 2θ = 43.85°, rel. 81.4, (1 3 -3)
1.500 Å, 2θ = 61.87°, rel. 23.0, (3 3 -1)
1.477 Å, 2θ = 62.95°, rel. 22.2, (1 3 5)



8.
Structure and calculated X-ray powder pattern of Rb2LiVO4 (a crystal structure in the Materials Project, relaxed with GGA+U; Cu Kα (weighted mean of Kα1 and Kα2)).

Cell and atoms:
a = 5.9800 Å, b = 11.9854 Å, c = 8.0076 Å
α = 90.00°, β = 90.00°, γ = 90.00°
Space group Cmc2_1 (No. 36)
Unique sites:
Rb (0.0000, 0.0638, 0.0000) (multiplicity 4)
Rb (0.0000, 0.3955, 0.8619) (multiplicity 4)
Li (0.0000, 0.2008, 0.5822) (multiplicity 4)
V (0.0000, 0.3087, 0.3004) (multiplicity 4)
O (0.0000, 0.1640, 0.3334) (multiplicity 4)
O (0.0000, 0.3648, 0.5019) (multiplicity 4)
O (0.2384, 0.3531, 0.1938) (multiplicity 8)

Top 6 peaks for 2θ = 15–90°, in order of rising 2θ:
3.325 Å, 2θ = 26.81°, rel. 52.0, (1 3 0)
3.206 Å, 2θ = 27.83°, rel. 63.3, (1 1 2)
3.068 Å, 2θ = 29.10°, rel. 100.0, (1 3 1)
2.992 Å, 2θ = 29.87°, rel. 67.5, (2 0 0)
2.438 Å, 2θ = 36.86°, rel. 36.3, (0 2 3)
2.396 Å, 2θ = 37.54°, rel. 31.3, (2 0 2)



9.
Structure and calculated X-ray powder pattern of Li9Mn2Co5O16 (a crystal structure in the Materials Project, relaxed with GGA+U; Cu Kα (weighted mean of Kα1 and Kα2)).

Cell and atoms:
a = 3.0307 Å, b = 5.1346 Å, c = 19.5536 Å
α = 91.30°, β = 92.97°, γ = 104.61°
Space group P1 (No. 1)
Unique sites:
Li (0.0000, 0.0000, 0.0000) (multiplicity 1)
Li (0.0694, 0.3087, 0.8134) (multiplicity 1)
Li (0.1386, 0.6181, 0.6271) (multiplicity 1)
Li (0.2564, 0.2462, 0.2511) (multiplicity 1)
Li (0.3833, 0.8777, 0.8768) (multiplicity 1)
Li (0.5072, 0.4970, 0.5013) (multiplicity 1)
Li (0.6321, 0.1215, 0.1248) (multiplicity 1)
Li (0.7549, 0.7395, 0.7502) (multiplicity 1)
Li (0.8791, 0.3692, 0.3778) (multiplicity 1)
Mn (0.5800, 0.8091, 0.3149) (multiplicity 1)
Mn (0.9339, 0.6824, 0.1869) (multiplicity 1)
Co (0.2030, 0.9341, 0.4416) (multiplicity 1)
Co (0.3116, 0.5594, 0.0599) (multiplicity 1)
Co (0.4478, 0.1886, 0.6937) (multiplicity 1)
Co (0.6889, 0.4281, 0.9328) (multiplicity 1)
Co (0.8204, 0.0601, 0.5662) (multiplicity 1)
O (0.0270, 0.1792, 0.9093) (multiplicity 1)
O (0.1108, 0.4376, 0.7174) (multiplicity 1)
O (0.1746, 0.7932, 0.5314) (multiplicity 1)
O (0.2496, 0.4159, 0.1516) (multiplicity 1)
O (0.2640, 0.0758, 0.3500) (multiplicity 1)
O (0.3743, 0.6938, 0.9709) (multiplicity 1)
O (0.4075, 0.0324, 0.7721) (multiplicity 1)
O (0.4546, 0.3144, 0.6014) (multiplicity 1)
O (0.5669, 0.6727, 0.4069) (multiplicity 1)
O (0.6262, 0.9499, 0.2226) (multiplicity 1)
O (0.6779, 0.3032, 0.0250) (multiplicity 1)
O (0.7303, 0.5841, 0.8545) (multiplicity 1)
O (0.7621, 0.9238, 0.6554) (multiplicity 1)
O (0.8392, 0.1982, 0.4751) (multiplicity 1)
O (0.8869, 0.5412, 0.2792) (multiplicity 1)
O (0.9542, 0.8225, 0.0951) (multiplicity 1)

Top 6 peaks for 2θ = 15–90°, in order of rising 2θ:
4.855 Å, 2θ = 18.27°, rel. 100.0, (0 1 -1)
2.612 Å, 2θ = 34.33°, rel. 18.4, (1 0 3)
2.507 Å, 2θ = 35.81°, rel. 13.1, (-1 1 4)
2.191 Å, 2θ = 41.21°, rel. 33.2, (1 1 2)
2.080 Å, 2θ = 43.50°, rel. 27.4, (-1 2 3)
2.015 Å, 2θ = 45.00°, rel. 23.7, (0 1 -9)



10.
Structure and calculated X-ray powder pattern of NaNdMo2O8 (a crystal structure in the Materials Project, relaxed with GGA+U; Cu Kα (weighted mean of Kα1 and Kα2)).

Cell and atoms:
a = 5.3498 Å, b = 5.3498 Å, c = 11.6590 Å
α = 90.00°, β = 90.00°, γ = 90.00°
Space group I-4 (No. 82)
Unique sites:
Na (0.0000, 0.0000, 0.0000) (multiplicity 2)
Nd (0.0000, 0.5000, 0.2500) (multiplicity 2)
Mo (0.0000, 0.0000, 0.5000) (multiplicity 2)
Mo (0.0000, 0.5000, 0.7500) (multiplicity 2)
O (0.1413, 0.7588, 0.4128) (multiplicity 8)
O (0.1520, 0.2559, 0.8316) (multiplicity 8)

Top 6 peaks for 2θ = 15–90°, in order of rising 2θ:
4.862 Å, 2θ = 18.25°, rel. 18.4, (1 0 1)
3.173 Å, 2θ = 28.12°, rel. 100.0, (1 1 2)
2.675 Å, 2θ = 33.50°, rel. 18.2, (2 0 0)
1.971 Å, 2θ = 46.05°, rel. 30.8, (2 0 4)
1.728 Å, 2θ = 52.98°, rel. 16.1, (1 1 6)
1.625 Å, 2θ = 56.65°, rel. 26.3, (3 1 2)



11.
Structure and calculated X-ray powder pattern of NaMg14FeO16 (a crystal structure in the Materials Project, relaxed with GGA+U; Cu Kα (weighted mean of Kα1 and Kα2)).

Cell and atoms:
a = 4.2906 Å, b = 8.5541 Å, c = 8.5595 Å
α = 90.00°, β = 90.00°, γ = 90.00°
Space group Pmmm (No. 47)
Unique sites:
Na (0.0000, 0.0000, 0.0000) (multiplicity 1)
Mg (0.0000, 0.0000, 0.5000) (multiplicity 1)
Mg (0.0000, 0.2448, 0.2518) (multiplicity 4)
Mg (0.0000, 0.5000, 0.5000) (multiplicity 1)
Mg (0.5000, 0.0000, 0.2474) (multiplicity 2)
Mg (0.5000, 0.2419, 0.0000) (multiplicity 2)
Mg (0.5000, 0.2477, 0.5000) (multiplicity 2)
Mg (0.5000, 0.5000, 0.2524) (multiplicity 2)
Fe (0.0000, 0.5000, 0.0000) (multiplicity 1)
O (0.0000, 0.0000, 0.2638) (multiplicity 2)
O (0.0000, 0.2556, 0.5000) (multiplicity 2)
O (0.0000, 0.2699, 0.0000) (multiplicity 2)
O (0.0000, 0.5000, 0.2458) (multiplicity 2)
O (0.5000, 0.0000, 0.0000) (multiplicity 1)
O (0.5000, 0.0000, 0.5000) (multiplicity 1)
O (0.5000, 0.2521, 0.2492) (multiplicity 4)
O (0.5000, 0.5000, 0.0000) (multiplicity 1)
O (0.5000, 0.5000, 0.5000) (multiplicity 1)

Top 6 peaks for 2θ = 15–90°, in order of rising 2θ:
2.472 Å, 2θ = 36.34°, rel. 21.1, (1 2 2)
2.145 Å, 2θ = 42.12°, rel. 51.1, (2 0 0)
2.139 Å, 2θ = 42.25°, rel. 100.0, (0 0 4)
1.515 Å, 2θ = 61.18°, rel. 56.6, (2 0 4)
1.513 Å, 2θ = 61.28°, rel. 27.8, (0 4 4)
1.236 Å, 2θ = 77.16°, rel. 25.2, (2 4 4)